1.
# Mg6VSi
Theoretical powder diffraction line list, Cu Ka. Input: a structure optimized by DFT (GGA-PBE).
Lines closer than 0.1° are merged.

Atomic structure:
a b c (Å): 4.8673 6.1955 10.5960
angles (deg): 90.00 90.00 90.00
Space group Amm2 (No. 38)
Unique sites:
1 Mg 0.0000 0.0000 0.0000 (multiplicity 2)
2 Mg 0.0000 0.2424 0.7457 (multiplicity 4)
3 Mg 0.5000 0.0000 0.1678 (multiplicity 2)
4 Mg 0.5000 0.2445 0.4180 (multiplicity 4)
5 V 0.5000 0.0000 0.6570 (multiplicity 2)
6 Si 0.0000 0.0000 0.5145 (multiplicity 2)

Main lines, by angle (2θ = 5–70°):
Position (°2θ)  I (rel.)
16.6  12
33.5  29
33.8  10
36.9  39
38.4  100
38.7  53
50.7  17
60.3  16
67.5  17
67.7  9



2.
# Mg14VSi
Theoretical powder diffraction line list, Cu Ka. Input: a structure optimized by DFT (GGA-PBE).
Lines closer than 0.1° are merged.

Atomic structure:
a b c (Å): 10.2005 6.1663 10.8882
angles (deg): 90.00 90.00 90.00
Space group Amm2 (No. 38)
Unique sites:
1 Mg 0.0000 0.0000 0.0000 (multiplicity 2)
2 Mg 0.0000 0.0000 0.4997 (multiplicity 2)
3 Mg 0.0000 0.2494 0.2506 (multiplicity 4)
4 Mg 0.2513 0.0000 0.6640 (multiplicity 4)
5 Mg 0.2534 0.0000 0.1644 (multiplicity 4)
6 Mg 0.2585 0.2499 0.4185 (multiplicity 8)
7 Mg 0.5000 0.2484 0.7490 (multiplicity 4)
8 V 0.5000 0.0000 0.5014 (multiplicity 2)
9 Si 0.5000 0.0000 0.0013 (multiplicity 2)

Main lines, by angle (2θ = 5–70°):
Position (°2θ)  I (rel.)
8.7  8
32.9  12
33.4  25
35.2  41
37.4  52
37.9  100
49.3  15
59.1  17
64.6  10
64.9  19